Record 1
SmGe12Pt4: simulated X-ray powder pattern (CuKα), based on a GGA-PBE-relaxed structure.
No peak broadening, texture or thermal motion is included.

Largest 8 diffraction maxima, in order of rising 2θ, 5 to 70 degrees two-theta:
d (Å), 2θ (°), I/Imax
4.364, 20.3, 49
3.086, 28.9, 100
2.760, 32.4, 82
2.333, 38.6, 38
1.952, 46.5, 74
1.782, 51.3, 85
1.712, 53.5, 34
1.380, 67.9, 31

Cell lengths 7.559, 7.559, 7.559 Å; angles 109.47, 109.47, 109.47 degrees
Fractional coordinates of all 17 atoms:
Sm 0.000 0.000 0.000
Ge 0.151 0.353 0.505
Ge 0.151 0.647 0.798
Ge 0.202 0.849 0.353
Ge 0.353 0.202 0.849
Ge 0.353 0.505 0.151
Ge 0.495 0.849 0.647
Ge 0.505 0.151 0.353
Ge 0.647 0.495 0.849
Ge 0.647 0.798 0.151
Ge 0.798 0.151 0.647
Ge 0.849 0.353 0.202
Ge 0.849 0.647 0.495
Pt 0.000 0.000 0.500
Pt 0.000 0.500 0.000
Pt 0.500 0.000 0.000
Pt 0.500 0.500 0.500

Record 2
Sm2Ge3Pt: simulated X-ray powder pattern (CuKα), based on a GGA-PBE-relaxed structure.
No peak broadening, texture or thermal motion is included.

Largest 8 diffraction maxima, in order of rising 2θ, 5 to 70 degrees two-theta:
d (Å), 2θ (°), I/Imax
2.779, 32.2, 100
2.729, 32.8, 52
2.196, 41.1, 25
2.125, 42.6, 46
2.062, 43.9, 21
1.711, 53.6, 26
1.503, 61.7, 15
1.480, 62.8, 29

Cell lengths 4.124, 4.393, 7.282 Å; angles 90.00, 90.00, 90.00 degrees
Fractional coordinates of all 6 atoms:
Sm 0.000 0.000 0.000
Sm 0.000 0.500 0.498
Ge 0.500 0.000 0.662
Ge 0.500 0.500 0.176
Ge 0.500 0.500 0.833
Pt 0.500 0.000 0.327